LiFe8O12: theoretical X-ray powder pattern (CuKα), based on the GGA+U geometry in Alexandria.
Neutral-atom scattering factors, no anomalous dispersion.

Crystal structure
a = 5.0904 Å, b = 5.1223 Å, c = 8.5579 Å
α = 83.41°, β = 88.04°, γ = 79.80°
Positions (direct):
1 Li 0.0000 0.0000 0.0000
2 Fe 0.1568 0.1000 0.6009
3 Fe 0.1570 0.5939 0.2808
4 Fe 0.2059 0.5057 0.8254
5 Fe 0.4115 0.0667 0.1732
6 Fe 0.6231 0.6200 0.5477
7 Fe 0.6608 0.0429 0.7701
8 Fe 0.6818 0.5436 0.0712
9 Fe 0.8668 0.1181 0.3513
10 O 0.0325 0.3047 0.1515
11 O 0.2694 0.8989 0.3854
12 O 0.3214 0.7675 0.0787
13 O 0.3748 0.8131 0.7242
14 O 0.4160 0.3283 0.6440
15 O 0.5093 0.2725 0.9612
16 O 0.5239 0.3530 0.2803
17 O 0.7935 0.8394 0.2161
18 O 0.8373 0.9302 0.5670
19 O 0.8655 0.7247 0.8995
20 O 0.9743 0.4061 0.4588
21 O 0.9837 0.2343 0.7836

Principal peaks in the range 5 to 70 degrees two-theta, sorted by position:
hkl 1 0 2, 27.3°, I 50; hkl 1 1 2, 29.5°, I 42; hkl 1 1 -2, 32.6°, I 100; hkl -1 1 2, 33.5°, I 78; hkl 1 -1 2, 35.7°, I 42; hkl 0 2 0, 35.8°, I 48; hkl 1 2 2, 40.8°, I 54; hkl 2 -1 1, 44.8°, I 45; hkl 1 2 3, 46.6°, I 47; hkl -1 3 2, 63.5°, I 28